Record 1
Structure and simulated X-ray powder pattern of Lu5Re2C7 (a structure optimized by DFT (PBE); Cu Ka).
Neutral-atom scattering factors, no anomalous dispersion.

Principal peaks in the range 10° ≤ 2θ ≤ 80°, low angle first:
2theta  Rel. int.
29.68  29
33.42  31
33.81  85
34.45  33
35.10  99
36.89  100
54.73  32
54.97  19
60.11  22
66.11  25

Structural model:
Unit cell a=8.1536 b=8.1536 c=3.3409 alpha=90.00 beta=90.00 gamma=121.70
Sites, in units of the cell vectors:
Lu  0.0000  0.0000  0.0000
Lu  0.1631  0.4213  0.5000
Lu  0.4213  0.1631  0.5000
Lu  0.5787  0.8369  0.5000
Lu  0.8369  0.5787  0.5000
Re  0.2159  0.7841  0.0000
Re  0.7841  0.2159  0.0000
C  0.0000  0.5000  0.0000
C  0.1229  0.8771  0.5000
C  0.3290  0.3290  0.0000
C  0.5000  0.0000  0.0000
C  0.5000  0.5000  0.0000
C  0.6710  0.6710  0.0000
C  0.8771  0.1229  0.5000

Record 2
Structure and simulated X-ray powder pattern of Mg6C7 (a structure optimized by DFT (PBE); Cu Ka).
Neutral-atom scattering factors, no anomalous dispersion.

Principal peaks in the range 10° ≤ 2θ ≤ 80°, low angle first:
2theta  Rel. int.
20.30  15
23.61  27
27.98  19
29.70  67
35.11  100
37.34  45
46.63  18
59.69  31
66.36  15
69.49  16

Structural model:
Unit cell a=10.0108 b=10.0108 c=10.0108 alpha=29.58 beta=29.58 gamma=29.58
Sites, in units of the cell vectors:
Mg  0.0544  0.0544  0.0544
Mg  0.2268  0.2268  0.2268
Mg  0.3410  0.3410  0.3410
Mg  0.6590  0.6590  0.6590
Mg  0.7732  0.7732  0.7732
Mg  0.9456  0.9456  0.9456
C  0.2565  0.5502  0.5502
C  0.4498  0.4498  0.7435
C  0.4498  0.7435  0.4498
C  0.5000  0.5000  0.5000
C  0.5502  0.2565  0.5502
C  0.5502  0.5502  0.2565
C  0.7435  0.4498  0.4498

Record 3
Structure and simulated X-ray powder pattern of MgC4 (a structure optimized by DFT (PBE); Cu Ka).
Neutral-atom scattering factors, no anomalous dispersion.

Principal peaks in the range 10° ≤ 2θ ≤ 80°, low angle first:
2theta  Rel. int.
21.98  9
25.53  100
31.29  76
40.80  10
40.98  29
44.83  10
50.47  7
52.30  36
52.44  27
62.22  20

Structural model:
Unit cell a=5.7179 b=5.7179 c=4.4050 alpha=90.00 beta=90.00 gamma=90.00
Sites, in units of the cell vectors:
Mg  0.0000  0.0000  0.0000
Mg  0.5000  0.5000  0.5000
C  0.0000  0.3864  0.0000
C  0.0000  0.6136  0.0000
C  0.1136  0.5000  0.5000
C  0.3864  0.0000  0.0000
C  0.5000  0.1136  0.5000
C  0.5000  0.8864  0.5000
C  0.6136  0.0000  0.0000
C  0.8864  0.5000  0.5000

Record 4
Structure and simulated X-ray powder pattern of MgC2 (a structure optimized by DFT (PBE); Cu Ka).
Neutral-atom scattering factors, no anomalous dispersion.

Principal peaks in the range 10° ≤ 2θ ≤ 80°, low angle first:
2theta  Rel. int.
28.84  13
32.05  100
36.02  53
36.89  7
45.96  20
48.98  52
55.17  30
59.74  17
74.55  12
79.11  11

Structural model:
Unit cell a=3.9496 b=3.9496 c=4.9863 alpha=90.00 beta=90.00 gamma=90.00
Sites, in units of the cell vectors:
Mg  0.0000  0.0000  0.0000
Mg  0.5000  0.5000  0.5000
C  0.1124  0.1124  0.5000
C  0.3876  0.6124  0.0000
C  0.6124  0.3876  0.0000
C  0.8876  0.8876  0.5000

Record 5
Structure and simulated X-ray powder pattern of Mg5C7 (a structure optimized by DFT (PBE); Cu Ka).
Neutral-atom scattering factors, no anomalous dispersion.

Principal peaks in the range 10° ≤ 2θ ≤ 80°, low angle first:
2theta  Rel. int.
33.41  36
35.11  78
37.44  30
41.94  100
45.33  31
49.24  22
52.26  37
53.79  22
55.49  18
73.20  25

Structural model:
Unit cell a=5.6484 b=5.6484 c=5.6484 alpha=100.42 beta=100.42 gamma=129.67
Sites, in units of the cell vectors:
Mg  0.0000  0.0000  0.0000
Mg  0.3837  0.3837  0.5991
Mg  0.3837  0.7847  0.0000
Mg  0.7847  0.3837  0.0000
Mg  0.7847  0.7847  0.4009
C  0.1333  0.6333  0.5000
C  0.2459  0.8914  0.3545
C  0.4471  0.4471  0.0000
C  0.5369  0.8914  0.6455
C  0.6333  0.1333  0.5000
C  0.8914  0.2459  0.3545
C  0.8914  0.5369  0.6455

Record 6
Structure and simulated X-ray powder pattern of Mg5C (a structure optimized by DFT (PBE); Cu Ka).
Neutral-atom scattering factors, no anomalous dispersion.

Principal peaks in the range 10° ≤ 2θ ≤ 80°, low angle first:
2theta  Rel. int.
31.78  47
33.33  60
34.95  55
38.07  100
39.24  42
42.97  33
50.24  18
58.42  15
59.21  15
72.62  22

Structural model:
Unit cell a=10.3890 b=3.1208 c=7.3425 alpha=90.00 beta=101.75 gamma=90.00
Sites, in units of the cell vectors:
Mg  0.0000  0.0000  0.0000
Mg  0.0807  0.0000  0.3955
Mg  0.1966  0.5000  0.8080
Mg  0.2836  0.0000  0.1918
Mg  0.3961  0.0000  0.6247
Mg  0.5000  0.5000  0.0000
Mg  0.5807  0.5000  0.3955
Mg  0.6966  0.0000  0.8080
Mg  0.7836  0.5000  0.1918
Mg  0.8961  0.5000  0.6247
C  0.1236  0.5000  0.1749
C  0.6236  0.0000  0.1749